Record 1
Calculated powder XRD pattern
Compound: Al2WSe
Radiation: Cu Kα (weighted mean of Kα1 and Kα2)
Structure: a structure optimized by DFT (PBE)

Structure:
a = 3.339 Å, b = 3.339 Å, c = 5.831 Å
α = 90.00°, β = 90.00°, γ = 90.00°
Space group P4/mmm (No. 123)
Asymmetric unit:
1 Al 0.000 0.000 0.227 [2 per cell]
2 W 0.500 0.500 0.000 [1 per cell]
3 Se 0.500 0.500 0.500 [1 per cell]

Most intense lines, 2θ = 5–70°, by angle:
d_spacing  2θ (°)  I (rel.)  index
5.831  15.19  34.6  0 0 1
3.339  26.70  68.2  1 0 0
2.916  30.66  24.6  0 0 2
2.361  38.12  62.6  1 1 0
2.196  41.10  100.0  1 0 2
1.835  49.69  26.1  1 1 2

Record 2
Calculated powder XRD pattern
Compound: Y7AlSe5
Radiation: Cu Kα (weighted mean of Kα1 and Kα2)
Structure: a structure optimized by DFT (PBE)

Structure:
a = 4.028 Å, b = 24.255 Å, c = 7.046 Å
α = 90.00°, β = 106.60°, γ = 90.00°
Space group P2_1/m (No. 11)
Asymmetric unit:
1 Y 0.025 0.250 0.050 [2 per cell]
2 Y 0.138 0.536 0.277 [4 per cell]
3 Y 0.312 0.179 0.625 [4 per cell]
4 Y 0.405 0.619 0.810 [4 per cell]
5 Al 0.309 0.750 0.618 [2 per cell]
6 Se 0.051 0.641 0.101 [4 per cell]
7 Se 0.224 0.072 0.448 [4 per cell]
8 Se 0.500 0.000 0.000 [2 per cell]

Most intense lines, 2θ = 5–70°, by angle:
d_spacing  2θ (°)  I (rel.)  index
3.083  28.96  58.9  0 7 1
2.979  30.00  42.9  1 1 1
2.914  30.68  100.0  1 2 1
2.814  31.80  69.4  1 3 1
2.766  32.37  55.1  0 8 1
2.210  40.84  39.3  1 9 0

Record 3
Calculated powder XRD pattern
Compound: AlZn3Se4
Radiation: Cu Kα (weighted mean of Kα1 and Kα2)
Structure: a structure optimized by DFT (PBE)

Structure:
a = 4.1720 Å, b = 4.1720 Å, c = 39.1393 Å
α = 90.00°, β = 90.00°, γ = 120.00°
Space group R3m (No. 160, hexagonal axes)
Asymmetric unit:
1 Al 0.0000 0.0000 0.0000 [3 per cell]
2 Zn 0.0000 0.0000 0.2486 [3 per cell]
3 Zn 0.0000 0.0000 0.4998 [3 per cell]
4 Zn 0.0000 0.0000 0.7503 [3 per cell]
5 Se 0.0000 0.0000 0.0631 [3 per cell]
6 Se 0.0000 0.0000 0.3153 [3 per cell]
7 Se 0.0000 0.0000 0.5642 [3 per cell]
8 Se 0.0000 0.0000 0.8136 [3 per cell]

Most intense lines, 2θ = 5–70°, by angle:
d_spacing  2θ (°)  I (rel.)  index
3.389  26.29  100.0  1 0 4
3.262  27.34  35.9  0 0 12
2.086  43.38  52.1  1 1 0
2.026  44.74  46.9  1 0 16
1.757  52.04  34.9  1 1 12
1.453  64.08  15.5  0 2 16

Record 4
Calculated powder XRD pattern
Compound: AlZnSe
Radiation: Cu Kα (weighted mean of Kα1 and Kα2)
Structure: a structure optimized by DFT (PBE)

Structure:
a = 3.6729 Å, b = 3.6729 Å, c = 5.1432 Å
α = 90.00°, β = 90.00°, γ = 120.00°
Space group P3m1 (No. 156)
Asymmetric unit:
1 Al 0.0000 0.0000 0.0000 [1 per cell]
2 Zn 0.6667 0.3333 0.6646 [1 per cell]
3 Se 0.3333 0.6667 0.2833 [1 per cell]

Most intense lines, 2θ = 5–70°, by angle:
d_spacing  2θ (°)  I (rel.)  index
3.181  28.05  10.3  1 0 0
2.705  33.11  100.0  0 1 1
2.000  45.35  33.4  1 0 2
1.836  49.64  27.6  1 1 0
1.519  60.98  16.4  2 0 1
1.353  69.49  9.0  0 2 2